The following is a calculated X-ray powder pattern of TlCuHSeO5. It was derived from a DFT-relaxed cell (GGA-PBE, Alexandria), using CuKα.
Neutral-atom scattering factors, no anomalous dispersion.

Peak list (10 most intense, 10 to 90 degrees two-theta, in order of rising 2θ)
d [Å]  intensity
4.703  28
3.678  57
3.547  100
3.335  26
3.138  35
2.987  23
2.845  29
2.760  34
2.744  43
2.397  47

Structural model:
abc: 4.7346 5.9745 9.3970
angles: 90.00 96.60 90.00
Sites, in units of the cell vectors:
1 Tl 0.0814 0.2500 0.3807
2 Tl 0.9186 0.7500 0.6193
3 Cu 0.0000 0.0000 0.0000
4 Cu 0.0000 0.5000 0.0000
5 H 0.3910 0.2500 0.1103
6 H 0.6090 0.7500 0.8897
7 Se 0.4922 0.2500 0.7701
8 Se 0.5078 0.7500 0.2299
9 O 0.1824 0.2500 0.1062
10 O 0.2644 0.7500 0.0740
11 O 0.3027 0.0175 0.7844
12 O 0.3027 0.4825 0.7844
13 O 0.3371 0.7500 0.3747
14 O 0.6629 0.2500 0.6253
15 O 0.6973 0.5175 0.2156
16 O 0.6973 0.9825 0.2156
17 O 0.7356 0.2500 0.9260
18 O 0.8176 0.7500 0.8938



The following is a calculated X-ray powder pattern of Dy4CuS3. It was derived from a DFT-relaxed cell (GGA-PBE, Alexandria), using CuKα.
Neutral-atom scattering factors, no anomalous dispersion.

Peak list (10 most intense, 10 to 90 degrees two-theta, in order of rising 2θ)
d [Å]  intensity
3.250  50
3.181  47
2.794  51
2.779  100
1.998  19
1.970  73
1.934  17
1.692  16
1.625  20
1.590  18

Structural model:
abc: 6.8697 6.8697 3.8682
angles: 90.00 90.00 108.88
Sites, in units of the cell vectors:
1 Dy 0.2493 0.7507 0.0000
2 Dy 0.2508 0.2508 0.5000
3 Dy 0.7492 0.7492 0.5000
4 Dy 0.7507 0.2493 0.0000
5 Cu 0.5000 0.5000 0.0000
6 S 0.0000 0.0000 0.0000
7 S 0.0000 0.5000 0.5000
8 S 0.5000 0.0000 0.5000



The following is a calculated X-ray powder pattern of AcTlPb2Se4. It was derived from a DFT-relaxed cell (GGA-PBE, Alexandria), using CuKα.
Neutral-atom scattering factors, no anomalous dispersion.

Peak list (10 most intense, 10 to 90 degrees two-theta, in order of rising 2θ)
d [Å]  intensity
3.656  55
3.177  100
3.143  49
2.249  19
2.244  19
2.235  76
1.915  15
1.826  31
1.419  18
1.294  20

Structural model:
abc: 7.7184 4.4877 7.7427
angles: 90.00 108.83 90.00
Sites, in units of the cell vectors:
1 Ac 0.0000 0.0000 0.0000
2 Tl 0.0000 0.5000 0.5000
3 Pb 0.5000 0.0000 0.5000
4 Pb 0.5000 0.5000 0.0000
5 Se 0.2513 0.5000 0.2407
6 Se 0.2597 0.0000 0.7658
7 Se 0.7403 0.0000 0.2342
8 Se 0.7487 0.5000 0.7593



The following is a calculated X-ray powder pattern of Tl5SeO. It was derived from a DFT-relaxed cell (GGA-PBE, Alexandria), using CuKα.
Neutral-atom scattering factors, no anomalous dispersion.

Peak list (10 most intense, 10 to 90 degrees two-theta, in order of rising 2θ)
d [Å]  intensity
3.495  65
3.297  44
3.100  30
3.068  58
3.049  100
3.008  40
2.790  23
2.716  40
2.658  64
2.484  26

Structural model:
abc: 6.8620 7.0865 10.0264
angles: 110.45 103.56 91.41
Sites, in units of the cell vectors:
1 Tl 0.0315 0.2930 0.3425
2 Tl 0.1924 0.6321 0.9945
3 Tl 0.3023 0.1796 0.8006
4 Tl 0.4003 0.7672 0.4688
5 Tl 0.4495 0.2874 0.1819
6 Tl 0.5505 0.7126 0.8181
7 Tl 0.5997 0.2328 0.5312
8 Tl 0.6977 0.8204 0.1994
9 Tl 0.8076 0.3679 0.0055
10 Tl 0.9685 0.7070 0.6575
11 Se 0.0000 0.0000 0.0000
12 Se 0.0000 0.0000 0.5000
13 O 0.4012 0.6360 0.2204
14 O 0.5988 0.3640 0.7796



The following is a calculated X-ray powder pattern of Ce8Tc2Ru3. It was derived from a DFT-relaxed cell (GGA-PBE, Alexandria), using CuKα.
Neutral-atom scattering factors, no anomalous dispersion.

Peak list (10 most intense, 10 to 90 degrees two-theta, in order of rising 2θ)
d [Å]  intensity
4.139  24
3.973  24
3.169  54
3.130  91
2.616  100
2.505  70
2.361  43
2.135  56
1.926  53
1.837  25

Structural model:
abc: 8.4025 8.4025 6.8235
angles: 110.94 110.94 51.86
Sites, in units of the cell vectors:
1 Ce 0.1027 0.1027 0.4130
2 Ce 0.1395 0.6253 0.0918
3 Ce 0.3577 0.3577 0.5711
4 Ce 0.3747 0.8605 0.9082
5 Ce 0.6253 0.1395 0.0918
6 Ce 0.6423 0.6423 0.4289
7 Ce 0.8605 0.3747 0.9082
8 Ce 0.8973 0.8973 0.5870
9 Tc 0.2578 0.2578 0.7574
10 Tc 0.7422 0.7422 0.2426
11 Ru 0.0000 0.0000 0.0000
12 Ru 0.3046 0.6954 0.5000
13 Ru 0.6954 0.3046 0.5000



The following is a calculated X-ray powder pattern of VTeI6. It was derived from a DFT-relaxed cell (GGA-PBE, Alexandria), using CuKα.
Neutral-atom scattering factors, no anomalous dispersion.

Peak list (10 most intense, 10 to 90 degrees two-theta, in order of rising 2θ)
d [Å]  intensity
6.063  49
3.898  25
3.612  22
3.597  53
3.479  28
3.455  44
2.948  100
2.277  22
2.210  30
1.800  21

Structural model:
abc: 7.4526 7.4526 8.2064
angles: 104.57 104.57 115.95
Sites, in units of the cell vectors:
1 V 0.0000 0.0000 0.0000
2 Te 0.5000 0.5000 0.5000
3 I 0.0731 0.3929 0.2429
4 I 0.2146 0.2146 0.8335
5 I 0.3929 0.0731 0.2429
6 I 0.6071 0.9269 0.7571
7 I 0.7854 0.7854 0.1665
8 I 0.9269 0.6071 0.7571



The following is a calculated X-ray powder pattern of Mg5Zn2In. It was derived from a DFT-relaxed cell (GGA-PBE, Alexandria), using CuKα.
Neutral-atom scattering factors, no anomalous dispersion.

Peak list (10 most intense, 10 to 90 degrees two-theta, in order of rising 2θ)
d [Å]  intensity
4.104  38
4.004  100
3.047  35
2.445  44
2.370  99
2.202  58
1.870  37
1.613  21
1.368  16
1.334  21

Structural model:
abc: 4.7392 4.7392 18.2697
angles: 90.00 90.00 120.00
Sites, in units of the cell vectors:
1 Mg 0.0000 0.0000 0.1478
2 Mg 0.0000 0.0000 0.3522
3 Mg 0.0000 0.0000 0.6478
4 Mg 0.0000 0.0000 0.8522
5 Mg 0.3333 0.6667 0.0492
6 Mg 0.3333 0.6667 0.2500
7 Mg 0.3333 0.6667 0.4508
8 Mg 0.6667 0.3333 0.5492
9 Mg 0.6667 0.3333 0.7500
10 Mg 0.6667 0.3333 0.9508
11 Zn 0.3333 0.6667 0.6004
12 Zn 0.3333 0.6667 0.8996
13 Zn 0.6667 0.3333 0.1004
14 Zn 0.6667 0.3333 0.3996
15 In 0.3333 0.6667 0.7500
16 In 0.6667 0.3333 0.2500



The following is a calculated X-ray powder pattern of Pr6Y4Tm. It was derived from a DFT-relaxed cell (GGA-PBE, Alexandria), using CuKα.
Neutral-atom scattering factors, no anomalous dispersion.

Peak list (10 most intense, 10 to 90 degrees two-theta, in order of rising 2θ)
d [Å]  intensity
4.397  19
3.107  75
2.929  100
2.650  76
2.488  21
2.347  22
2.269  38
1.833  23
1.632  22
1.604  23

Structural model:
abc: 9.9746 9.9746 9.9746
angles: 141.12 141.12 56.15
Sites, in units of the cell vectors:
1 Pr 0.0000 0.5000 0.5000
2 Pr 0.1889 0.1889 0.6444
3 Pr 0.4555 0.8111 0.0000
4 Pr 0.5000 0.0000 0.5000
5 Pr 0.5445 0.5445 0.3556
6 Pr 0.8111 0.4555 0.0000
7 Y 0.0090 0.6401 0.0000
8 Y 0.3599 0.3599 0.3689
9 Y 0.6401 0.0090 0.0000
10 Y 0.9910 0.9910 0.6311
11 Tm 0.0000 0.0000 0.0000



The following is a calculated X-ray powder pattern of CeMg16Al12. It was derived from a DFT-relaxed cell (GGA-PBE, Alexandria), using CuKα.
Neutral-atom scattering factors, no anomalous dispersion.

Peak list (10 most intense, 10 to 90 degrees two-theta, in order of rising 2θ)
d [Å]  intensity
7.568  57
7.380  35
4.332  26
2.523  56
2.516  31
2.494  98
2.460  100
2.277  48
2.166  24
1.444  27

Structural model:
abc: 9.2321 9.2321 9.2321
angles: 110.13 110.13 110.13
Sites, in units of the cell vectors:
1 Ce 0.0000 0.0000 0.0000
2 Mg 0.0198 0.3162 0.6281
3 Mg 0.0198 0.6281 0.3162
4 Mg 0.2367 0.2367 0.9034
5 Mg 0.2367 0.9034 0.2367
6 Mg 0.2827 0.6250 0.6250
7 Mg 0.3162 0.0198 0.6281
8 Mg 0.3162 0.6281 0.0198
9 Mg 0.3453 0.9431 0.9431
10 Mg 0.6223 0.6223 0.6223
11 Mg 0.6250 0.2827 0.6250
12 Mg 0.6250 0.6250 0.2827
13 Mg 0.6281 0.0198 0.3162
14 Mg 0.6281 0.3162 0.0198
15 Mg 0.9034 0.2367 0.2367
16 Mg 0.9431 0.3453 0.9431
17 Mg 0.9431 0.9431 0.3453
18 Al 0.2554 0.2554 0.4383
19 Al 0.2554 0.4383 0.2554
20 Al 0.4383 0.2554 0.2554
21 Al 0.4376 0.4376 0.7994
22 Al 0.4376 0.7994 0.4376
23 Al 0.6274 0.8134 0.9921
24 Al 0.6274 0.9921 0.8134
25 Al 0.7994 0.4376 0.4376
26 Al 0.8134 0.6274 0.9921
27 Al 0.8134 0.9921 0.6274
28 Al 0.9921 0.6274 0.8134
29 Al 0.9921 0.8134 0.6274



The following is a calculated X-ray powder pattern of BeSnSe. It was derived from a DFT-relaxed cell (GGA-PBE, Alexandria), using CuKα.
Neutral-atom scattering factors, no anomalous dispersion.

Peak list (10 most intense, 10 to 90 degrees two-theta, in order of rising 2θ)
d [Å]  intensity
3.121  33
3.094  100
2.246  14
2.226  12
2.218  12
2.179  13
2.170  13
2.150  12
1.786  22
1.547  17

Structural model:
abc: 3.5734 3.5747 6.2490
angles: 87.97 87.70 60.02
Sites, in units of the cell vectors:
1 Be 0.0000 0.0000 0.0000
2 Sn 0.3439 0.3417 0.6612
3 Se 0.3270 0.3293 0.1269



The following is a calculated X-ray powder pattern of Sn4As3P. It was derived from a DFT-relaxed cell (GGA-PBE, Alexandria), using CuKα.
Neutral-atom scattering factors, no anomalous dispersion.

Peak list (10 most intense, 10 to 90 degrees two-theta, in order of rising 2θ)
d [Å]  intensity
2.875  100
2.868  49
2.041  19
2.031  74
2.023  18
1.663  20
1.654  19
1.284  17
1.175  13
1.171  13

Structural model:
abc: 4.0659 4.0659 11.4709
angles: 90.35 90.35 89.82
Sites, in units of the cell vectors:
1 Sn 0.0000 0.0000 0.0000
2 Sn 0.0028 0.0028 0.5001
3 Sn 0.5000 0.5000 0.2561
4 Sn 0.5014 0.5014 0.7442
5 As 0.9997 0.9997 0.2511
6 As 0.0008 0.0008 0.7491
7 As 0.5000 0.5000 0.0001
8 P 0.4999 0.4999 0.5002



The following is a calculated X-ray powder pattern of Ga3PbI. It was derived from a DFT-relaxed cell (GGA-PBE, Alexandria), using CuKα.
Neutral-atom scattering factors, no anomalous dispersion.

Peak list (10 most intense, 10 to 90 degrees two-theta, in order of rising 2θ)
d [Å]  intensity
5.749  37
4.065  100
2.875  97
2.347  48
2.033  72
1.818  23
1.660  25
1.536  26
1.286  32
1.174  24

Structural model:
abc: 5.7490 5.7490 5.7490
angles: 90.00 90.00 90.00
Sites, in units of the cell vectors:
1 Ga 0.0000 0.0000 0.5000
2 Ga 0.0000 0.5000 0.0000
3 Ga 0.5000 0.0000 0.0000
4 Pb 0.0000 0.0000 0.0000
5 I 0.5000 0.5000 0.5000



The following is a calculated X-ray powder pattern of PrSm3Mg. It was derived from a DFT-relaxed cell (GGA-PBE, Alexandria), using CuKα.
Neutral-atom scattering factors, no anomalous dispersion.

Peak list (10 most intense, 10 to 90 degrees two-theta, in order of rising 2θ)
d [Å]  intensity
8.120  13
2.957  24
2.861  24
2.821  100
2.056  17
1.939  11
1.644  20
1.605  13
1.502  7
1.497  13

Structural model:
abc: 8.7886 8.7886 8.7886
angles: 156.83 142.00 44.98
Sites, in units of the cell vectors:
1 Pr 0.0000 0.0000 0.0000
2 Sm 0.2120 0.7120 0.5000
3 Sm 0.6002 0.6002 0.0000
4 Sm 0.7902 0.2902 0.5000
5 Mg 0.3995 0.3995 0.0000